# 1
Simulated XRD peak list
Compound: KCoSe2O6
Radiation: Cu Kα, 1.54184 Å
Structure: a cell relaxed with PBE+U
Intensities are scaled so that the largest is 100.

Lattice parameters (Å, degrees): 5.4453 5.4453 18.0892 90.00 90.00 120.00
Space group R-3 (No. 148, hexagonal axes)
One atom of each set of equivalent atoms:
K (0.0000, 0.0000, 0.0000) [3 per cell]
Co (0.0000, 0.0000, 0.5000) [3 per cell]
Se (0.0000, 0.0000, 0.2623) [6 per cell]
O (0.0088, 0.6060, 0.8985) [18 per cell]

Largest 6 diffraction maxima, by angle, 2θ = 15–90°:
| d_spacing | two_theta | I (rel.) | h k l |
| --- | --- | --- | --- |
| 3.264 | 27.32 | 100 | 1 0 4 |
| 2.723 | 32.90 | 38 | 1 1 0 |
| 2.091 | 43.27 | 16 | 0 2 4 |
| 2.039 | 44.43 | 18 | 0 1 8 |
| 1.658 | 55.41 | 22 | 2 1 4 |
| 1.572 | 58.74 | 13 | 3 0 0 |

***

# 2
Simulated XRD peak list
Compound: KCoTcO4
Radiation: Cu Kα, 1.54184 Å
Structure: a cell relaxed with PBE+U
Intensities are scaled so that the largest is 100.

Lattice parameters (Å, degrees): 5.829 5.798 7.186 90.00 103.16 90.00
Space group P2_1/m (No. 11)
One atom of each set of equivalent atoms:
K (0.249, 0.250, 0.451) [2 per cell]
Co (0.370, 0.250, 0.982) [2 per cell]
Tc (0.209, 0.750, 0.169) [2 per cell]
O (0.044, 0.250, 0.036) [2 per cell]
O (0.127, 0.750, 0.394) [2 per cell]
O (0.455, 0.530, 0.171) [4 per cell]

Largest 6 diffraction maxima, by angle, 2θ = 15–90°:
| d_spacing | two_theta | I (rel.) | h k l |
| --- | --- | --- | --- |
| 4.464 | 19.89 | 78 | 0 1 1 |
| 3.987 | 22.30 | 73 | 1 0 1 |
| 2.996 | 29.83 | 34 | 0 1 2 |
| 2.896 | 30.87 | 100 | 0 2 0 |
| 2.570 | 34.91 | 32 | 2 1 -1 |
| 2.459 | 36.54 | 35 | 1 1 2 |

***

Copy entry 1 word for word.
Simulated XRD peak list
Compound: KCoSe2O6
Radiation: Cu Kα, 1.54184 Å
Structure: a cell relaxed with PBE+U
Intensities are scaled so that the largest is 100.

Lattice parameters (Å, degrees): 5.4453 5.4453 18.0892 90.00 90.00 120.00
Space group R-3 (No. 148, hexagonal axes)
One atom of each set of equivalent atoms:
K (0.0000, 0.0000, 0.0000) [3 per cell]
Co (0.0000, 0.0000, 0.5000) [3 per cell]
Se (0.0000, 0.0000, 0.2623) [6 per cell]
O (0.0088, 0.6060, 0.8985) [18 per cell]

Largest 6 diffraction maxima, by angle, 2θ = 15–90°:
| d_spacing | two_theta | I (rel.) | h k l |
| --- | --- | --- | --- |
| 3.264 | 27.32 | 100 | 1 0 4 |
| 2.723 | 32.90 | 38 | 1 1 0 |
| 2.091 | 43.27 | 16 | 0 2 4 |
| 2.039 | 44.43 | 18 | 0 1 8 |
| 1.658 | 55.41 | 22 | 2 1 4 |
| 1.572 | 58.74 | 13 | 3 0 0 |